# 1
Simulated PXRD pattern of Pu3NiRh2 for Cu Kα, 1.54184 Å, from DFT lattice parameters and positions (PBE).
Lines closer than 0.1° are merged.

Main lines, sorted by position (10° ≤ 2θ ≤ 80°):
| h k l | 2theta | I_rel |
| --- | --- | --- |
| 1 0 3 | 26.17 | 34.4 |
| 0 0 6 | 37.20 | 25.2 |
| 1 2 3 | 37.35 | 100.0 |
| 2 0 0 | 37.47 | 24.9 |
| 2 0 6 | 53.85 | 26.4 |
| 3 2 3 | 67.51 | 26.9 |

Atomic structure:
```
data_Pu3NiRh2
_chemical_formula_sum 'Pu12 Ni4 Rh8'
_cell_length_a 4.800
_cell_length_b 6.805
_cell_length_c 14.502
_cell_angle_alpha 90.00
_cell_angle_beta 90.00
_cell_angle_gamma 90.00
_symmetry_space_group_name_H-M 'I m m a'
_symmetry_Int_Tables_number 74
_symmetry_space_group_name_Hall '-I 2b 2'
loop_
_atom_site_label
_atom_site_type_symbol
_atom_site_fract_x
_atom_site_fract_y
_atom_site_fract_z
Pu1 Pu 0.000 0.000 0.000
Pu2 Pu 0.000 0.007 0.331
Ni1 Ni 0.000 0.250 0.162
Rh1 Rh 0.000 0.250 0.505
Rh2 Rh 0.000 0.250 0.833
```

=====

# 2
Simulated PXRD pattern of Ho2Tm5Th2 for Cu Kα, 1.54184 Å, from DFT lattice parameters and positions (PBE).
Lines closer than 0.1° are merged.

Main lines, sorted by position (10° ≤ 2θ ≤ 80°):
| h k l | 2theta | I_rel |
| --- | --- | --- |
| 0 1 -3 | 25.09 | 33.6 |
| 0 2 2 | 29.97 | 100.0 |
| 0 1 -4 | 32.73 | 65.4 |
| 1 -2 1 | 35.30 | 62.5 |
| -1 1 3 | 36.08 | 81.2 |
| 1 3 4 | 62.08 | 33.4 |

Atomic structure:
```
data_Ho2Tm5Th2
_chemical_formula_sum 'Ho2 Tm5 Th2'
_cell_length_a 3.455
_cell_length_b 8.036
_cell_length_c 11.251
_cell_angle_alpha 99.46
_cell_angle_beta 98.81
_cell_angle_gamma 90.08
_symmetry_space_group_name_H-M 'P -1'
_symmetry_Int_Tables_number 2
_symmetry_space_group_name_Hall '-P 1'
loop_
_atom_site_label
_atom_site_type_symbol
_atom_site_fract_x
_atom_site_fract_y
_atom_site_fract_z
Ho1 Ho 0.170 0.162 0.341
Tm1 Tm 0.000 0.000 0.000
Tm2 Tm 0.093 0.730 0.183
Tm3 Tm 0.307 0.454 0.614
Th1 Th 0.447 0.650 0.894
```

=====

# 3
Simulated PXRD pattern of Dy3Co3Ge8 for Cu Kα, 1.54184 Å, from DFT lattice parameters and positions (PBE).
Lines closer than 0.1° are merged.

Main lines, sorted by position (10° ≤ 2θ ≤ 80°):
| h k l | 2theta | I_rel |
| --- | --- | --- |
| 3 1 1 | 32.94 | 51.4 |
| 5 1 -1 | 33.71 | 100.0 |
| 4 0 -3 | 35.37 | 36.1 |
| 1 1 2 | 35.71 | 89.6 |
| 6 0 1 | 39.37 | 30.7 |
| 0 2 0 | 45.63 | 48.6 |

Atomic structure:
```
data_Dy3Co3Ge8
_chemical_formula_sum 'Dy6 Co6 Ge16'
_cell_length_a 17.937
_cell_length_b 3.976
_cell_length_c 7.768
_cell_angle_alpha 90.00
_cell_angle_beta 112.90
_cell_angle_gamma 90.00
_symmetry_space_group_name_H-M 'C 1 2/m 1'
_symmetry_Int_Tables_number 12
_symmetry_space_group_name_Hall '-C 2y'
loop_
_atom_site_label
_atom_site_type_symbol
_atom_site_fract_x
_atom_site_fract_y
_atom_site_fract_z
Dy1 Dy 0.000 0.000 0.000
Dy2 Dy 0.248 0.500 0.692
Co1 Co 0.000 0.000 0.500
Co2 Co 0.153 0.500 0.987
Ge1 Ge 0.042 0.500 0.701
Ge2 Ge 0.120 0.000 0.465
Ge3 Ge 0.122 0.500 0.250
Ge4 Ge 0.189 0.000 0.887
```

=====

# 4
Simulated PXRD pattern of BaThTl for Cu Kα, 1.54184 Å, from DFT lattice parameters and positions (PBE).
Lines closer than 0.1° are merged.

Main lines, sorted by position (10° ≤ 2θ ≤ 80°):
| h k l | 2theta | I_rel |
| --- | --- | --- |
| 1 1 0 | 30.42 | 53.6 |
| 1 0 7 | 31.14 | 100.0 |
| 1 0 9 | 36.23 | 25.6 |
| 2 0 0 | 43.56 | 20.4 |
| 2 1 7 | 54.51 | 36.2 |
| 2 1 9 | 57.90 | 13.7 |

Atomic structure:
```
data_BaThTl
_chemical_formula_sum 'Ba4 Th4 Tl4'
_cell_length_a 4.156
_cell_length_b 4.156
_cell_length_c 27.809
_cell_angle_alpha 90.00
_cell_angle_beta 90.00
_cell_angle_gamma 90.00
_symmetry_space_group_name_H-M 'I 4/m m m'
_symmetry_Int_Tables_number 139
_symmetry_space_group_name_Hall '-I 4 2'
loop_
_atom_site_label
_atom_site_type_symbol
_atom_site_fract_x
_atom_site_fract_y
_atom_site_fract_z
Ba1 Ba 0.000 0.000 0.078
Th1 Th 0.000 0.000 0.216
Tl1 Tl 0.000 0.000 0.343
```

=====

Copy entry 3 word for word.
Simulated PXRD pattern of Dy3Co3Ge8 for Cu Kα, 1.54184 Å, from DFT lattice parameters and positions (PBE).
Lines closer than 0.1° are merged.

Main lines, sorted by position (10° ≤ 2θ ≤ 80°):
| h k l | 2theta | I_rel |
| --- | --- | --- |
| 3 1 1 | 32.94 | 51.4 |
| 5 1 -1 | 33.71 | 100.0 |
| 4 0 -3 | 35.37 | 36.1 |
| 1 1 2 | 35.71 | 89.6 |
| 6 0 1 | 39.37 | 30.7 |
| 0 2 0 | 45.63 | 48.6 |

Atomic structure:
```
data_Dy3Co3Ge8
_chemical_formula_sum 'Dy6 Co6 Ge16'
_cell_length_a 17.937
_cell_length_b 3.976
_cell_length_c 7.768
_cell_angle_alpha 90.00
_cell_angle_beta 112.90
_cell_angle_gamma 90.00
_symmetry_space_group_name_H-M 'C 1 2/m 1'
_symmetry_Int_Tables_number 12
_symmetry_space_group_name_Hall '-C 2y'
loop_
_atom_site_label
_atom_site_type_symbol
_atom_site_fract_x
_atom_site_fract_y
_atom_site_fract_z
Dy1 Dy 0.000 0.000 0.000
Dy2 Dy 0.248 0.500 0.692
Co1 Co 0.000 0.000 0.500
Co2 Co 0.153 0.500 0.987
Ge1 Ge 0.042 0.500 0.701
Ge2 Ge 0.120 0.000 0.465
Ge3 Ge 0.122 0.500 0.250
Ge4 Ge 0.189 0.000 0.887
```